Entry 1:
# CdH9C14NO5
Simulated powder X-ray diffraction pattern, Cu Kα X-rays. Input: a cell relaxed with GGA-PBE.

a = 6.575 Å, b = 7.484 Å, c = 12.050 Å
α = 102.79°, β = 92.63°, γ = 103.83°
Space group P-1 (No. 2)
Symmetry-distinct sites (fractional):
Cd: 0.195 0.079 0.132 [2 per cell]
H: 0.113 0.242 0.558 [2 per cell]
H: 0.144 0.566 0.902 [2 per cell]
H: 0.175 0.237 0.398 [2 per cell]
H: 0.189 0.301 0.978 [2 per cell]
H: 0.209 0.583 0.085 [2 per cell]
H: 0.377 0.851 0.646 [2 per cell]
H: 0.411 0.847 0.489 [2 per cell]
H: 0.457 0.828 0.283 [2 per cell]
H: 0.483 0.610 0.094 [2 per cell]
C: 0.022 0.208 0.767 [2 per cell]
C: 0.126 0.385 0.733 [2 per cell]
C: 0.161 0.380 0.619 [2 per cell]
C: 0.177 0.558 0.814 [2 per cell]
C: 0.237 0.374 0.379 [2 per cell]
C: 0.250 0.546 0.584 [2 per cell]
C: 0.267 0.724 0.781 [2 per cell]
C: 0.284 0.544 0.464 [2 per cell]
C: 0.305 0.718 0.668 [2 per cell]
C: 0.317 0.909 0.869 [2 per cell]
C: 0.332 0.527 0.234 [2 per cell]
C: 0.335 0.519 0.109 [2 per cell]
C: 0.368 0.710 0.428 [2 per cell]
C: 0.395 0.701 0.314 [2 per cell]
N: 0.260 0.366 0.268 [2 per cell]
O: 0.006 0.775 0.126 [2 per cell]
O: 0.042 0.947 0.306 [2 per cell]
O: 0.172 0.936 0.933 [2 per cell]
O: 0.304 0.331 0.042 [2 per cell]
O: 0.495 0.024 0.873 [2 per cell]

Top 10 peaks for 10 to 90 degrees two-theta, sorted by position:
d_spacing	Rel. int.	index
6.804	100	0 1 -1
5.841	43	1 0 -1
5.476	39	0 1 1
4.779	33	-1 1 1
4.092	21	1 0 2
3.175	17	2 0 0
3.106	75	2 -1 1
2.822	19	2 -1 2
2.579	20	1 2 -3
2.390	15	0 3 -2

***

Entry 2:
# ZnCdCoAs
Simulated powder X-ray diffraction pattern, Cu Kα X-rays. Input: a cell relaxed with GGA-PBE.

a = 6.377 Å, b = 6.377 Å, c = 6.377 Å
α = 90.00°, β = 90.00°, γ = 90.00°
Space group F-43m (No. 216)
Symmetry-distinct sites (fractional):
Zn: 0.000 0.000 0.000 [4 per cell]
Cd: 0.250 0.250 0.250 [4 per cell]
Co: 0.250 0.250 0.750 [4 per cell]
As: 0.000 0.000 0.500 [4 per cell]

Top 9 peaks for 10 to 90 degrees two-theta, sorted by position:
d_spacing	Rel. int.	index
3.682	7	1 1 1
3.189	1	2 0 0
2.255	100	2 2 0
1.923	3	3 1 1
1.594	16	4 0 0
1.463	1	3 3 1
1.302	32	4 2 2
1.227	1	5 1 1
1.127	10	4 4 0

***

Entry 3:
# TbYCo
Simulated powder X-ray diffraction pattern, Cu Kα X-rays. Input: a cell relaxed with GGA-PBE.

a = 4.788 Å, b = 4.788 Å, c = 6.879 Å
α = 90.00°, β = 90.00°, γ = 90.00°
Space group P4_2/mmc (No. 131)
Symmetry-distinct sites (fractional):
Tb: 0.000 0.000 0.000 [2 per cell]
Y: 0.500 0.500 0.250 [2 per cell]
Co: 0.000 0.500 0.000 [2 per cell]

Top 10 peaks for 10 to 90 degrees two-theta, sorted by position:
d_spacing	Rel. int.	index
4.788	13	1 0 0
3.930	16	1 0 1
3.386	46	1 1 0
2.793	100	1 0 2
2.394	51	2 0 0
1.818	56	2 1 2
1.693	17	2 2 0
1.448	13	3 0 2
1.397	18	2 0 4
1.239	16	3 2 2

***

Entry 4:
# Sr2Pt2NO5
Simulated powder X-ray diffraction pattern, Cu Kα X-rays. Input: a cell relaxed with GGA-PBE.

a = 4.120 Å, b = 4.120 Å, c = 7.646 Å
α = 90.00°, β = 90.00°, γ = 90.00°
Space group P4/mmm (No. 123)
Symmetry-distinct sites (fractional):
Sr: 0.000 0.000 0.000 [1 per cell]
Sr: 0.000 0.000 0.500 [1 per cell]
Pt: 0.500 0.500 0.242 [2 per cell]
N: 0.500 0.500 0.000 [1 per cell]
O: 0.000 0.500 0.266 [4 per cell]
O: 0.500 0.500 0.500 [1 per cell]

Top 10 peaks for 10 to 90 degrees two-theta, sorted by position:
d_spacing	Rel. int.	index
4.120	27	1 0 0
3.823	11	0 0 2
2.913	55	1 1 0
2.802	100	1 0 2
2.060	32	2 0 0
1.911	12	0 0 4
1.660	44	2 1 2
1.598	19	1 1 4
1.401	17	2 0 4
1.095	12	3 2 2

***

Entry 5:
# Cs3PdBr6
Simulated powder X-ray diffraction pattern, Cu Kα X-rays. Input: a cell relaxed with GGA-PBE.

a = 11.779 Å, b = 11.779 Å, c = 11.779 Å
α = 90.00°, β = 90.00°, γ = 90.00°
Space group Fm-3m (No. 225)
Symmetry-distinct sites (fractional):
Cs: 0.000 0.000 0.000 [4 per cell]
Cs: 0.250 0.250 0.250 [8 per cell]
Pd: 0.000 0.000 0.500 [4 per cell]
Br: 0.000 0.000 0.282 [24 per cell]

Top 10 peaks for 10 to 90 degrees two-theta, sorted by position:
d_spacing	Rel. int.	index
5.889	16	2 0 0
4.164	70	2 2 0
3.400	50	2 2 2
2.945	100	4 0 0
2.404	24	4 2 2
2.082	66	4 4 0
1.862	24	6 2 0
1.700	20	4 4 4
1.574	22	6 4 2
1.317	22	8 4 0

***

Entry 6:
# Tm2H5
Simulated powder X-ray diffraction pattern, Cu Kα X-rays. Input: a cell relaxed with GGA-PBE.

a = 4.998 Å, b = 4.998 Å, c = 10.121 Å
α = 90.00°, β = 90.00°, γ = 90.00°
Space group I4_1md (No. 109)
Symmetry-distinct sites (fractional):
Tm: 0.000 0.000 0.000 [4 per cell]
Tm: 0.000 0.000 0.496 [4 per cell]
H: 0.000 0.000 0.247 [4 per cell]
H: 0.233 0.250 0.873 [16 per cell]

Top 10 peaks for 10 to 90 degrees two-theta, sorted by position:
d_spacing	Rel. int.	index
2.897	100	1 1 2
2.530	17	0 0 4
2.499	33	2 0 0
1.778	25	2 0 4
1.767	12	2 2 0
1.522	15	1 1 6
1.509	29	3 1 2
1.449	12	2 2 4
1.153	12	3 1 6
1.147	6	3 3 2

***

Entry 7:
# Cu5Ag4
Simulated powder X-ray diffraction pattern, Cu Kα X-rays. Input: a cell relaxed with GGA-PBE.

a = 2.795 Å, b = 2.795 Å, c = 33.249 Å
α = 90.00°, β = 90.00°, γ = 90.00°
Space group I4mm (No. 107)
Symmetry-distinct sites (fractional):
Cu: 0.000 0.000 0.000 [2 per cell]
Cu: 0.000 0.000 0.093 [2 per cell]
Cu: 0.000 0.000 0.339 [2 per cell]
Cu: 0.000 0.000 0.547 [2 per cell]
Cu: 0.000 0.000 0.885 [2 per cell]
Ag: 0.000 0.000 0.216 [2 per cell]
Ag: 0.000 0.000 0.443 [2 per cell]
Ag: 0.000 0.000 0.651 [2 per cell]
Ag: 0.000 0.000 0.782 [2 per cell]

Top 10 peaks for 10 to 90 degrees two-theta, sorted by position:
d_spacing	Rel. int.	index
2.577	9	1 0 5
2.409	10	1 0 7
2.375	6	0 0 14
2.229	100	1 0 9
1.976	41	1 1 0
1.847	7	0 0 18
1.519	5	1 1 14
1.398	12	2 0 0
1.350	10	1 1 18
1.184	23	2 1 9

***

Entry 8:
# Li4AsAuO6
Simulated powder X-ray diffraction pattern, Cu Kα X-rays. Input: a cell relaxed with GGA-PBE.

a = 5.469 Å, b = 8.737 Å, c = 5.253 Å
α = 90.00°, β = 114.86°, γ = 90.00°
Space group C2 (No. 5)
Symmetry-distinct sites (fractional):
Li: 0.000 0.000 0.000 [2 per cell]
Li: 0.000 0.172 0.500 [2 per cell]
Li: 0.000 0.501 0.500 [2 per cell]
Li: 0.000 0.825 0.500 [2 per cell]
As: 0.000 0.316 0.000 [2 per cell]
Au: 0.000 0.658 0.000 [2 per cell]
O: 0.199 0.180 0.264 [4 per cell]
O: 0.214 0.478 0.237 [4 per cell]
O: 0.231 0.330 0.804 [4 per cell]

Top 10 peaks for 10 to 90 degrees two-theta, sorted by position:
d_spacing	Rel. int.	index
4.766	100	0 0 1
4.369	32	0 2 0
4.315	53	1 1 0
4.010	47	1 1 -1
3.220	29	0 2 1
2.718	26	2 0 -1
2.511	51	1 3 0
2.447	21	1 3 -1
2.257	26	2 0 -2
2.050	42	1 3 1